Calculated powder diffraction line list of Na3Mn4F12 for λ = 1.5418 Å (Cu Kα), from a structure optimized by DFT (PBE+U).
Neutral-atom scattering factors, no anomalous dispersion.

Cell and atoms:
```
data_Na3Mn4F12
_symmetry_space_group_name_H-M 'I m -3'
_symmetry_Int_Tables_number 204
_symmetry_space_group_name_Hall '-I 2 2 3'
_cell_length_a 8.0735
_cell_length_b 8.0735
_cell_length_c 8.0735
_cell_angle_alpha 90.00
_cell_angle_beta 90.00
_cell_angle_gamma 90.00
loop_
_atom_site_label
_atom_site_type_symbol
_atom_site_fract_x
_atom_site_fract_y
_atom_site_fract_z
Na1 Na 0.0000 0.0000 0.5000
Mn1 Mn 0.2500 0.2500 0.2500
F1 F 0.0000 0.2082 0.3017
```

Peak list (10 most intense, 10° ≤ 2θ ≤ 80°, by intensity)
22.02°, intensity 100, hkl 2 0 0
31.34°, intensity 90, hkl 2 2 0
44.91°, intensity 61, hkl 4 0 0
55.78°, intensity 59, hkl 4 2 2
50.56°, intensity 38, hkl 4 2 0
65.39°, intensity 24, hkl 4 4 0
35.15°, intensity 19, hkl 3 0 1
41.87°, intensity 15, hkl 3 1 2
74.30°, intensity 15, hkl 6 2 0
15.52°, intensity 14, hkl 1 1 0